[1]
Calculated powder XRD pattern of CaMn2O4 for Cu Kα (weighted mean of Kα1 and Kα2), from DFT lattice parameters and positions (PBE+U).

Largest 10 diffraction maxima, by angle, 2θ from 10° to 90°:
- 2θ = 17.32°, d = 5.120 Å, intensity 100.0
- 2θ = 22.13°, d = 4.016 Å, intensity 34.2
- 2θ = 22.35°, d = 3.978 Å, intensity 30.5
- 2θ = 28.92°, d = 3.087 Å, intensity 94.4
- 2θ = 32.73°, d = 2.736 Å, intensity 40.3
- 2θ = 36.41°, d = 2.468 Å, intensity 36.6
- 2θ = 39.73°, d = 2.269 Å, intensity 56.3
- 2θ = 45.64°, d = 1.988 Å, intensity 40.9
- 2θ = 50.93°, d = 1.793 Å, intensity 36.0
- 2θ = 57.71°, d = 1.597 Å, intensity 37.9

Cell and atoms:
```
data_CaMn2O4
_chemical_formula_sum 'Ca4 Mn8 O16'
_space_group_name_H-M_alt 'P 1 21/c 1'
_space_group_IT_number 14
_cell_length_a 5.6892
_cell_length_b 5.7932
_cell_length_c 10.9529
_cell_angle_alpha 90.00
_cell_angle_beta 92.08
_cell_angle_gamma 90.00
loop_
_space_group_symop_operation_xyz
'x,y,z'
'-x,-y,-z'
'-x,y+1/2,-z+1/2'
'x,-y+1/2,z+1/2'
loop_
_atom_site_label
_atom_site_fract_x
_atom_site_fract_y
_atom_site_fract_z
_atom_site_occupancy
Ca1 0.2316 0.0802 0.0945 1
Mn1 0.1387 0.0452 0.3753 1
Mn2 0.3655 0.5872 0.1503 1
O1 0.1054 0.7169 0.0399 1
O2 0.1189 0.1060 0.7114 1
O3 0.3788 0.5954 0.7745 1
O4 0.3966 0.2240 0.4468 1
```

[2]
Calculated powder XRD pattern of CaMn4O8 for Cu Kα (weighted mean of Kα1 and Kα2), from DFT lattice parameters and positions (PBE+U).

Largest 10 diffraction maxima, by angle, 2θ from 10° to 90°:
- 2θ = 15.84°, d = 5.595 Å, intensity 100.0
- 2θ = 31.98°, d = 2.798 Å, intensity 9.5
- 2θ = 34.19°, d = 2.622 Å, intensity 8.2
- 2θ = 36.17°, d = 2.483 Å, intensity 5.6
- 2θ = 39.92°, d = 2.258 Å, intensity 21.5
- 2θ = 40.75°, d = 2.214 Å, intensity 19.4
- 2θ = 42.36°, d = 2.134 Å, intensity 17.7
- 2θ = 50.88°, d = 1.795 Å, intensity 6.2
- 2θ = 51.65°, d = 1.770 Å, intensity 5.4
- 2θ = 60.53°, d = 1.530 Å, intensity 5.4

Cell and atoms:
```
data_CaMn4O8
_chemical_formula_sum 'Ca1 Mn4 O8'
_space_group_name_H-M_alt 'P -1'
_space_group_IT_number 2
_cell_length_a 5.8349
_cell_length_b 5.8768
_cell_length_c 5.9729
_cell_angle_alpha 89.40
_cell_angle_beta 62.43
_cell_angle_gamma 74.00
loop_
_space_group_symop_operation_xyz
'x,y,z'
'-x,-y,-z'
loop_
_atom_site_label
_atom_site_fract_x
_atom_site_fract_y
_atom_site_fract_z
_atom_site_occupancy
Ca1 0.0000 0.0000 0.0000 1
Mn1 0.0010 0.4986 0.7464 1
Mn2 0.4905 0.5252 0.2545 1
O1 0.2133 0.3129 0.9059 1
O2 0.2210 0.3333 0.3996 1
O3 0.2456 0.6905 0.1341 1
O4 0.2536 0.6816 0.6520 1
```

[3]
Calculated powder XRD pattern of Ca3MnO4 for Cu Kα (weighted mean of Kα1 and Kα2), from DFT lattice parameters and positions (PBE+U).

Largest 10 diffraction maxima, by angle, 2θ from 10° to 90°:
- 2θ = 32.63°, d = 2.745 Å, intensity 50.1
- 2θ = 32.73°, d = 2.736 Å, intensity 16.6
- 2θ = 37.80°, d = 2.380 Å, intensity 50.5
- 2θ = 37.92°, d = 2.373 Å, intensity 100.0
- 2θ = 54.58°, d = 1.681 Å, intensity 44.6
- 2θ = 54.68°, d = 1.679 Å, intensity 29.5
- 2θ = 54.79°, d = 1.675 Å, intensity 14.6
- 2θ = 65.15°, d = 1.432 Å, intensity 16.2
- 2θ = 68.36°, d = 1.372 Å, intensity 20.2
- 2θ = 81.06°, d = 1.186 Å, intensity 7.8

Cell and atoms:
```
data_Ca3MnO4
_chemical_formula_sum 'Ca6 Mn2 O8'
_space_group_name_H-M_alt 'C 1 2/m 1'
_space_group_IT_number 12
_cell_length_a 11.1096
_cell_length_b 3.3602
_cell_length_c 5.8284
_cell_angle_alpha 90.00
_cell_angle_beta 99.89
_cell_angle_gamma 90.00
loop_
_space_group_symop_operation_xyz
'x,y,z'
'-x,-y,-z'
'-x,y,-z'
'x,-y,z'
'x+1/2,y+1/2,z'
'-x+1/2,-y+1/2,-z'
'-x+1/2,y+1/2,-z'
'x+1/2,-y+1/2,z'
loop_
_atom_site_label
_atom_site_fract_x
_atom_site_fract_y
_atom_site_fract_z
_atom_site_occupancy
Ca1 0.0000 0.0000 0.0000 1
Ca2 0.2484 0.0000 0.7460 1
Mn1 0.0000 0.5000 0.5000 1
O1 0.1204 0.0000 0.3798 1
O2 0.1249 0.5000 0.8695 1
```

[4]
Calculated powder XRD pattern of CaMn4O8 for Cu Kα (weighted mean of Kα1 and Kα2), from DFT lattice parameters and positions (PBE+U).

Largest 10 diffraction maxima, by angle, 2θ from 10° to 90°:
- 2θ = 17.30°, d = 5.126 Å, intensity 100.0
- 2θ = 17.54°, d = 5.058 Å, intensity 63.4
- 2θ = 17.87°, d = 4.965 Å, intensity 86.2
- 2θ = 17.99°, d = 4.929 Å, intensity 92.5
- 2θ = 32.98°, d = 2.716 Å, intensity 33.7
- 2θ = 34.39°, d = 2.607 Å, intensity 58.7
- 2θ = 35.16°, d = 2.553 Å, intensity 48.3
- 2θ = 40.46°, d = 2.229 Å, intensity 62.6
- 2θ = 41.75°, d = 2.164 Å, intensity 42.7
- 2θ = 42.46°, d = 2.129 Å, intensity 56.9

Cell and atoms:
```
data_CaMn4O8
_chemical_formula_sum 'Ca4 Mn16 O32'
_space_group_name_H-M_alt 'P 1'
_space_group_IT_number 1
_cell_length_a 6.2657
_cell_length_b 10.3799
_cell_length_c 10.6602
_cell_angle_alpha 71.77
_cell_angle_beta 87.41
_cell_angle_gamma 89.44
loop_
_space_group_symop_operation_xyz
'x,y,z'
loop_
_atom_site_label
_atom_site_fract_x
_atom_site_fract_y
_atom_site_fract_z
_atom_site_occupancy
Ca1 0.0000 0.0000 0.0000 1
Ca2 0.0376 0.4865 0.4837 1
Ca3 0.5213 0.0083 0.4976 1
Ca4 0.5643 0.4738 0.9784 1
Mn1 0.0272 0.9164 0.6903 1
Mn2 0.0386 0.4181 0.1775 1
Mn3 0.0544 0.6706 0.9268 1
Mn4 0.2380 0.1588 0.2058 1
Mn5 0.2501 0.1657 0.7073 1
Mn6 0.2848 0.6824 0.6777 1
Mn7 0.2968 0.6754 0.1737 1
Mn8 0.4822 0.1704 0.9506 1
Mn9 0.5099 0.9161 0.1945 1
Mn10 0.5131 0.4268 0.6913 1
Mn11 0.5400 0.6808 0.4278 1
Mn12 0.7435 0.1608 0.2090 1
Mn13 0.7486 0.1677 0.7043 1
Mn14 0.7890 0.6835 0.6737 1
Mn15 0.7919 0.6777 0.1799 1
Mn16 0.9974 0.1594 0.4483 1
O1 0.0004 0.0475 0.7867 1
O2 0.0151 0.7763 0.0508 1
O3 0.0374 0.0519 0.3319 1
O4 0.0476 0.5601 0.2645 1
O5 0.0483 0.7888 0.5889 1
O6 0.0839 0.5706 0.8026 1
O7 0.1967 0.2810 0.3146 1
O8 0.2205 0.0601 0.5797 1
O9 0.2458 0.2410 0.8485 1
O10 0.2464 0.7985 0.7918 1
O11 0.2786 0.5770 0.0443 1
O12 0.2913 0.0381 0.0925 1
O13 0.3188 0.7759 0.3054 1
O14 0.3264 0.5598 0.5649 1
O15 0.4510 0.2680 0.0843 1
O16 0.4828 0.0515 0.2889 1
O17 0.4986 0.2782 0.6189 1
O18 0.5032 0.7854 0.5539 1
O19 0.5302 0.5794 0.7655 1
O20 0.5426 0.7930 0.0928 1
O21 0.5448 0.0661 0.8357 1
O22 0.5855 0.5747 0.3116 1
O23 0.6628 0.3121 0.8392 1
O24 0.7021 0.0608 0.0815 1
O25 0.7207 0.8154 0.3064 1
O26 0.7570 0.5832 0.5497 1
O27 0.7588 0.2344 0.3505 1
O28 0.8216 0.0269 0.5827 1
O29 0.8353 0.7783 0.8050 1
O30 0.8575 0.5422 0.0510 1
O31 0.9692 0.2678 0.5731 1
O32 0.9977 0.2628 0.1137 1
```

[5]
Calculated powder XRD pattern of Ca2MnO3 for Cu Kα (weighted mean of Kα1 and Kα2), from DFT lattice parameters and positions (PBE+U).

Largest 10 diffraction maxima, by angle, 2θ from 10° to 90°:
- 2θ = 12.58°, d = 7.038 Å, intensity 7.7
- 2θ = 32.78°, d = 2.732 Å, intensity 68.1
- 2θ = 37.85°, d = 2.377 Å, intensity 100.0
- 2θ = 38.37°, d = 2.346 Å, intensity 47.1
- 2θ = 54.61°, d = 1.681 Å, intensity 29.6
- 2θ = 55.00°, d = 1.670 Å, intensity 56.7
- 2θ = 65.17°, d = 1.432 Å, intensity 19.0
- 2θ = 65.87°, d = 1.418 Å, intensity 9.0
- 2θ = 68.70°, d = 1.366 Å, intensity 26.1
- 2θ = 80.89°, d = 1.188 Å, intensity 7.8

Cell and atoms:
```
data_Ca2MnO3
_chemical_formula_sum 'Ca4 Mn2 O6'
_space_group_name_H-M_alt 'I 4/m m m'
_space_group_IT_number 139
_space_group_name_Hall '-I 4 2'
_cell_length_a 3.3613
_cell_length_b 3.3613
_cell_length_c 14.0754
_cell_angle_alpha 90.00
_cell_angle_beta 90.00
_cell_angle_gamma 90.00
loop_
_atom_site_label
_atom_site_fract_x
_atom_site_fract_y
_atom_site_fract_z
_atom_site_occupancy
Ca1 0.0000 0.0000 0.1626 1
Mn1 0.0000 0.0000 0.5000 1
O1 0.0000 0.0000 0.0000 1
O2 0.0000 0.0000 0.3387 1
```

[6]
Calculated powder XRD pattern of CaMn2O4 for Cu Kα (weighted mean of Kα1 and Kα2), from DFT lattice parameters and positions (PBE+U).

Largest 10 diffraction maxima, by angle, 2θ from 10° to 90°:
- 2θ = 16.89°, d = 5.248 Å, intensity 39.4
- 2θ = 28.03°, d = 3.183 Å, intensity 56.9
- 2θ = 32.87°, d = 2.725 Å, intensity 45.3
- 2θ = 33.35°, d = 2.686 Å, intensity 100.0
- 2θ = 33.49°, d = 2.676 Å, intensity 39.1
- 2θ = 33.59°, d = 2.668 Å, intensity 58.8
- 2θ = 40.40°, d = 2.232 Å, intensity 45.7
- 2θ = 53.36°, d = 1.717 Å, intensity 29.7
- 2θ = 58.03°, d = 1.589 Å, intensity 43.4
- 2θ = 59.25°, d = 1.560 Å, intensity 43.7

Cell and atoms:
```
data_CaMn2O4
_chemical_formula_sum 'Ca16 Mn32 O64'
_space_group_name_H-M_alt 'C 1 m 1'
_space_group_IT_number 8
_cell_length_a 11.0778
_cell_length_b 6.2535
_cell_length_c 20.8810
_cell_angle_alpha 90.00
_cell_angle_beta 101.53
_cell_angle_gamma 90.00
loop_
_space_group_symop_operation_xyz
'x,y,z'
'x,-y,z'
'x+1/2,y+1/2,z'
'x+1/2,-y+1/2,z'
loop_
_atom_site_label
_atom_site_fract_x
_atom_site_fract_y
_atom_site_fract_z
_atom_site_occupancy
Ca1 0.0000 0.0000 0.0000 1
Ca2 0.0011 0.5000 0.4983 1
Ca3 0.0223 0.5000 0.0926 1
Ca4 0.1312 0.0000 0.8771 1
Ca5 0.2501 0.0000 0.7491 1
Ca6 0.2523 0.5000 0.2498 1
Ca7 0.2715 0.0000 0.3495 1
Ca8 0.3709 0.0000 0.6227 1
Mn1 0.0005 0.2502 0.7499 1
Mn2 0.0016 0.2526 0.2502 1
Mn3 0.0183 0.0000 0.5919 1
Mn4 0.1236 0.5000 0.3721 1
Mn5 0.2291 0.5000 0.6608 1
Mn6 0.2316 0.0000 0.1536 1
Mn7 0.2483 0.2545 0.4994 1
Mn8 0.2517 0.2558 0.0017 1
Mn9 0.2725 0.5000 0.8379 1
Mn10 0.3797 0.5000 0.1252 1
Mn11 0.4795 0.5000 0.4039 1
Mn12 0.4817 0.0000 0.9074 1
O1 0.0471 0.0000 0.6948 1
O2 0.0465 0.5000 0.2017 1
O3 0.0573 0.0000 0.1807 1
O4 0.0573 0.5000 0.6965 1
O5 0.0885 0.2543 0.9493 1
O6 0.0881 0.2747 0.4326 1
O7 0.1593 0.2820 0.3118 1
O8 0.1639 0.2490 0.8049 1
O9 0.1739 0.0000 0.5557 1
O10 0.2024 0.5000 0.5515 1
O11 0.2054 0.0000 0.0538 1
O12 0.2116 0.5000 0.0613 1
O13 0.2951 0.0000 0.4556 1
O14 0.2951 0.5000 0.4252 1
O15 0.2990 0.5000 0.9443 1
O16 0.3205 0.0000 0.9530 1
O17 0.3381 0.2499 0.6950 1
O18 0.3396 0.2723 0.1856 1
O19 0.4087 0.2845 0.0639 1
O20 0.4144 0.2573 0.5518 1
O21 0.4447 0.5000 0.8037 1
O22 0.4524 0.0000 0.8050 1
O23 0.4569 0.0000 0.3197 1
O24 0.4575 0.5000 0.3000 1
```

[7]
Calculated powder XRD pattern of CaMn2O4 for Cu Kα (weighted mean of Kα1 and Kα2), from DFT lattice parameters and positions (PBE+U).

Largest 10 diffraction maxima, by angle, 2θ from 10° to 90°:
- 2θ = 16.78°, d = 5.285 Å, intensity 45.7
- 2θ = 27.92°, d = 3.196 Å, intensity 39.3
- 2θ = 32.75°, d = 2.735 Å, intensity 49.4
- 2θ = 33.35°, d = 2.686 Å, intensity 100.0
- 2θ = 33.65°, d = 2.663 Å, intensity 64.1
- 2θ = 40.41°, d = 2.232 Å, intensity 55.7
- 2θ = 52.74°, d = 1.736 Å, intensity 24.8
- 2θ = 53.36°, d = 1.717 Å, intensity 33.0
- 2θ = 57.69°, d = 1.598 Å, intensity 46.7
- 2θ = 59.24°, d = 1.560 Å, intensity 52.6

Cell and atoms:
```
data_CaMn2O4
_chemical_formula_sum 'Ca6 Mn12 O24'
_space_group_name_H-M_alt 'R 3 m'
_space_group_IT_number 160
_space_group_name_Hall 'R 3 -2"'
_cell_length_a 6.2387
_cell_length_b 6.2387
_cell_length_c 15.8543
_cell_angle_alpha 90.00
_cell_angle_beta 90.00
_cell_angle_gamma 120.00
loop_
_atom_site_label
_atom_site_fract_x
_atom_site_fract_y
_atom_site_fract_z
_atom_site_occupancy
Ca1 0.0000 0.0000 0.0000 1
Ca2 0.0000 0.0000 0.3860 1
Mn1 0.0000 0.0000 0.6166 1
Mn2 0.1686 0.3372 0.8344 1
O1 0.0000 0.0000 0.2430 1
O2 0.0000 0.0000 0.7511 1
O3 0.0428 0.5214 0.7714 1
O4 0.1805 0.3610 0.5648 1
```

[8]
Calculated powder XRD pattern of CaMn2O4 for Cu Kα (weighted mean of Kα1 and Kα2), from DFT lattice parameters and positions (PBE+U).

Largest 10 diffraction maxima, by angle, 2θ from 10° to 90°:
- 2θ = 17.06°, d = 5.198 Å, intensity 48.7
- 2θ = 28.16°, d = 3.169 Å, intensity 84.0
- 2θ = 32.86°, d = 2.725 Å, intensity 55.9
- 2θ = 33.03°, d = 2.712 Å, intensity 31.6
- 2θ = 33.23°, d = 2.696 Å, intensity 91.3
- 2θ = 33.71°, d = 2.659 Å, intensity 100.0
- 2θ = 40.72°, d = 2.216 Å, intensity 36.7
- 2θ = 53.42°, d = 1.715 Å, intensity 39.8
- 2θ = 58.28°, d = 1.583 Å, intensity 79.9
- 2θ = 59.77°, d = 1.547 Å, intensity 22.3

Cell and atoms:
```
data_CaMn2O4
_chemical_formula_sum 'Ca4 Mn8 O16'
_space_group_name_H-M_alt 'I m m a'
_space_group_IT_number 74
_space_group_name_Hall '-I 2b 2'
_cell_length_a 6.1891
_cell_length_b 6.3491
_cell_length_c 9.0521
_cell_angle_alpha 90.00
_cell_angle_beta 90.00
_cell_angle_gamma 90.00
loop_
_atom_site_label
_atom_site_fract_x
_atom_site_fract_y
_atom_site_fract_z
_atom_site_occupancy
Ca1 0.0000 0.0000 0.0000 1
Mn1 0.0000 0.2500 0.3929 1
Mn2 0.2500 0.2500 0.7500 1
O1 0.0000 0.0367 0.7437 1
O2 0.2485 0.2500 0.5365 1
```